Entry 1:
Theoretical powder XRD pattern
Compound: MoIrAu2
Radiation: Cu Ka
Structure: a cell relaxed with PBE
Kinematic intensities with the Lorentz-polarization factor, no thermal factor.

Largest 8 diffraction maxima, by angle, 2θ from 10° to 90°:
2θ/deg  intensity
37.75  32
38.74  100
44.74  64
64.46  19
65.81  22
78.43  24
79.06  13
83.10  11

Atomic structure:
a b c (Å): 9.673 9.673 9.673
angles (deg): 16.87 16.87 16.87
Atoms (fractional coordinates):
1 Mo 0.000 0.000 0.000
2 Ir 0.261 0.261 0.261
3 Au 0.508 0.508 0.508
4 Au 0.752 0.752 0.752

***

Entry 2:
Theoretical powder XRD pattern
Compound: Nd4Ir2Au
Radiation: Cu Ka
Structure: a cell relaxed with PBE
Kinematic intensities with the Lorentz-polarization factor, no thermal factor.

Largest 8 diffraction maxima, by angle, 2θ from 10° to 90°:
2θ/deg  intensity
31.25  100
31.62  48
37.18  31
37.29  28
37.47  19
47.33  14
51.90  15
63.34  18

Atomic structure:
a b c (Å): 7.808 7.808 8.937
angles (deg): 124.88 124.88 70.92
Atoms (fractional coordinates):
1 Nd 0.063 0.567 0.867
2 Nd 0.067 0.067 0.369
3 Nd 0.198 0.432 0.263
4 Nd 0.433 0.937 0.133
5 Nd 0.563 0.302 0.734
6 Nd 0.568 0.802 0.737
7 Nd 0.698 0.437 0.266
8 Nd 0.933 0.933 0.631
9 Ir 0.194 0.564 0.629
10 Ir 0.436 0.806 0.371
11 Ir 0.694 0.306 0.500
12 Ir 0.936 0.064 0.000
13 Au 0.316 0.185 0.875
14 Au 0.815 0.684 0.125